Starting from a crystal structure in Alexandria, relaxed with PBE, the X-ray diffraction stick pattern of CeNd4Y6 was computed for Cu Kα, 1.54184 Å.
Lines closer than 0.1° are merged.

Peak list (6 most intense, 2θ from 15° to 90°, low angle first)
2θ = 29.87°, I 63.0; 2θ = 30.15°, I 47.3; 2θ = 30.75°, I 63.1; 2θ = 31.58°, I 100.0; 2θ = 32.74°, I 45.4; 2θ = 43.61°, I 34.0

a b c (Å): 5.668 5.668 26.159
angles (deg): 90.00 90.00 118.27
Sites, in units of the cell vectors:
Ce (0.186, 0.814, 0.750)
Ce (0.814, 0.186, 0.250)
Nd (0.157, 0.843, 0.044)
Nd (0.157, 0.843, 0.456)
Nd (0.470, 0.530, 0.123)
Nd (0.470, 0.530, 0.377)
Nd (0.530, 0.470, 0.623)
Nd (0.530, 0.470, 0.877)
Nd (0.843, 0.157, 0.544)
Nd (0.843, 0.157, 0.956)
Y (0.143, 0.857, 0.183)
Y (0.143, 0.857, 0.317)
Y (0.188, 0.812, 0.603)
Y (0.188, 0.812, 0.897)
Y (0.480, 0.520, 0.250)
Y (0.500, 0.500, 0.000)
Y (0.500, 0.500, 0.500)
Y (0.520, 0.480, 0.750)
Y (0.812, 0.188, 0.103)
Y (0.812, 0.188, 0.397)
Y (0.857, 0.143, 0.683)
Y (0.857, 0.143, 0.817)